Starting from a DFT-relaxed cell (GGA-PBE, Alexandria), the powder XRD pattern of LiTl5Hg8 was computed for Cu Kα X-rays.

Crystal structure
```
data_LiTl5Hg8
_chemical_formula_sum 'Li2 Tl10 Hg16'
_space_group_name_H-M_alt 'I -4'
_space_group_IT_number 82
_space_group_name_Hall 'I -4'
_cell_length_a 9.331
_cell_length_b 9.331
_cell_length_c 9.072
_cell_angle_alpha 90.00
_cell_angle_beta 90.00
_cell_angle_gamma 90.00
loop_
_atom_site_label
_atom_site_type_symbol
_atom_site_fract_x
_atom_site_fract_y
_atom_site_fract_z
Li1 Li 0.000 0.000 0.000
Tl1 Tl 0.000 0.500 0.250
Tl2 Tl 0.095 0.724 0.598
Hg1 Hg 0.051 0.838 0.268
Hg2 Hg 0.093 0.716 0.948
```

Most intense lines, 5° ≤ 2θ ≤ 70°, in order of rising 2θ:
hkl 2 0 2, 2θ 27.4, rel. 14; hkl 1 3 0, 2θ 30.3, rel. 100; hkl 1 0 3, 2θ 31.1, rel. 40; hkl 3 2 1, 2θ 36.1, rel. 28; hkl 3 1 2, 2θ 36.3, rel. 25; hkl 2 1 3, 2θ 36.7, rel. 49; hkl 2 4 2, 2θ 48.0, rel. 20; hkl 1 4 3, 2θ 50.4, rel. 17; hkl 0 0 6, 2θ 61.3, rel. 13; hkl 6 2 0, 2θ 63.0, rel. 13